Diffraction record for NaYSb2O8. The powder X-ray diffraction pattern is computed, not measured: it uses a crystal structure in Alexandria, relaxed with PBE and Cu Kα (weighted mean of Kα1 and Kα2).
No peak broadening, texture or thermal motion is included.

Cell lengths 5.931, 5.931, 7.010 Å; angles 90.00, 90.00, 120.00 degrees
Fractional positions:
Na 0.000 0.000 0.000
Y 0.000 0.000 0.500
Sb 0.333 0.667 0.469
Sb 0.667 0.333 0.531
O 0.056 0.375 0.626
O 0.319 0.944 0.626
O 0.333 0.667 0.188
O 0.375 0.319 0.374
O 0.625 0.681 0.626
O 0.667 0.333 0.812
O 0.681 0.056 0.374
O 0.944 0.625 0.374

Peak list (6 most intense, 2θ = 10–80°, in order of rising 2θ)
2θ = 12.63°, 7.010 Å, intensity 100.0, (0 0 1); 2θ = 25.41°, 3.505 Å, intensity 14.1, (0 0 2); 2θ = 30.14°, 2.965 Å, intensity 33.4, (1 1 0); 2θ = 32.79°, 2.731 Å, intensity 31.3, (2 -1 1); 2θ = 39.82°, 2.264 Å, intensity 27.6, (2 -1 2); 2θ = 49.67°, 1.835 Å, intensity 14.6, (2 -1 3)